1.
Diffraction record for PNClF. The PXRD pattern is simulated, not measured: it uses a cell relaxed with GGA-PBE and CuKα.

Atomic structure:
Cell lengths 12.9138, 9.9590, 7.9691 Å; angles 90.00, 90.00, 90.00 degrees
Space group Cmc2_1 (No. 36)
Symmetry-distinct sites (fractional):
P1 0.0000 0.1719 0.0000 (multiplicity 4)
P2 0.1070 0.3071 0.7527 (multiplicity 8)
N1 0.0000 0.3554 0.6745 (multiplicity 4)
N2 0.1059 0.2087 0.9098 (multiplicity 8)
Cl1 0.0000 0.2368 0.2372 (multiplicity 4)
Cl2 0.1987 0.4642 0.7970 (multiplicity 8)
F1 0.0000 0.0163 0.0320 (multiplicity 4)
F2 0.1705 0.2363 0.6100 (multiplicity 8)

Principal peaks in the range 10 to 90 degrees two-theta, by angle:
index, two_theta, d [Å], intensity
2 0 0, 13.71, 6.457, 16
1 1 1, 15.81, 5.605, 86
0 2 0, 17.81, 4.980, 32
0 2 1, 21.04, 4.223, 43
0 0 2, 22.31, 3.985, 24
3 1 0, 22.52, 3.947, 76
1 1 2, 25.04, 3.556, 41
3 1 1, 25.16, 3.539, 100
2 2 2, 31.93, 2.803, 50
3 5 1, 51.84, 1.764, 16

2.
Diffraction record for Re2N2ClF9. The PXRD pattern is simulated, not measured: it uses a cell relaxed with GGA-PBE and CuKα.

Atomic structure:
Cell lengths 14.5063, 8.8437, 8.0940 Å; angles 90.00, 90.00, 90.00 degrees
Space group Pnma (No. 62)
Symmetry-distinct sites (fractional):
Re1 0.0583 0.2500 0.1459 (multiplicity 4)
Re2 0.2215 0.2500 0.5910 (multiplicity 4)
N1 0.0046 0.7500 0.0264 (multiplicity 4)
N2 0.1983 0.7500 0.2509 (multiplicity 4)
Cl1 0.1322 0.7500 0.4043 (multiplicity 4)
F1 0.0390 0.7500 0.6968 (multiplicity 4)
F2 0.0742 0.0403 0.1774 (multiplicity 8)
F3 0.1276 0.2500 0.4121 (multiplicity 4)
F4 0.1437 0.1019 0.6834 (multiplicity 8)
F5 0.1782 0.2500 0.0531 (multiplicity 4)
F6 0.2227 0.5985 0.9618 (multiplicity 8)

Principal peaks in the range 10 to 90 degrees two-theta, by angle:
index, two_theta, d [Å], intensity
2 1 0, 15.80, 5.608, 53
1 1 1, 16.05, 5.521, 35
2 1 1, 19.25, 4.610, 100
0 2 0, 20.08, 4.422, 81
1 0 2, 22.81, 3.898, 31
3 1 1, 23.68, 3.757, 79
1 1 2, 24.96, 3.567, 46
1 2 2, 30.57, 2.925, 24
2 3 1, 34.68, 2.586, 25
5 2 2, 43.50, 2.081, 24

3.
Diffraction record for ReNClF5. The PXRD pattern is simulated, not measured: it uses a cell relaxed with GGA-PBE and CuKα.

Atomic structure:
Cell lengths 5.1221, 8.6449, 6.4835 Å; angles 90.00, 95.63, 90.00 degrees
Space group P2_1/m (No. 11)
Symmetry-distinct sites (fractional):
Re1 0.0336 0.2500 0.2989 (multiplicity 2)
N1 0.2365 0.2500 0.5324 (multiplicity 2)
Cl1 0.4275 0.2500 0.7367 (multiplicity 2)
F1 0.1867 0.7500 0.9618 (multiplicity 2)
F2 0.2012 0.5983 0.6189 (multiplicity 4)
F3 0.2226 0.0951 0.1741 (multiplicity 4)

Principal peaks in the range 10 to 90 degrees two-theta, by angle:
index, two_theta, d [Å], intensity
0 1 1, 17.15, 5.171, 100
1 0 0, 17.40, 5.097, 47
0 2 0, 20.55, 4.322, 56
1 1 -1, 23.52, 3.782, 85
1 1 1, 25.48, 3.495, 49
1 2 0, 27.05, 3.297, 24
0 0 2, 27.65, 3.226, 16
1 1 2, 35.91, 2.501, 16
1 3 -1, 37.83, 2.378, 46
2 3 -1, 48.73, 1.869, 18

4.
Diffraction record for NbCl4F. The PXRD pattern is simulated, not measured: it uses a cell relaxed with GGA-PBE and CuKα.

Atomic structure:
Cell lengths 8.4399, 9.4864, 10.2284 Å; angles 77.21, 67.39, 69.32 degrees
Space group P-1 (No. 2)
Symmetry-distinct sites (fractional):
Nb1 0.0121 0.2974 0.2712 (multiplicity 2)
Nb2 0.2403 0.2362 0.8284 (multiplicity 2)
Cl1 0.0347 0.7922 0.1426 (multiplicity 2)
Cl2 0.1210 0.6472 0.4980 (multiplicity 2)
Cl3 0.1521 0.0467 0.3148 (multiplicity 2)
Cl4 0.2381 0.7410 0.7437 (multiplicity 2)
Cl5 0.2632 0.3747 0.2263 (multiplicity 2)
Cl6 0.3575 0.2165 0.5891 (multiplicity 2)
Cl7 0.3640 0.9899 0.8995 (multiplicity 2)
Cl8 0.4624 0.3246 0.8342 (multiplicity 2)
F1 0.1056 0.4715 0.7949 (multiplicity 2)
F2 0.1164 0.2820 0.0470 (multiplicity 2)

Principal peaks in the range 10 to 90 degrees two-theta, by angle:
index, two_theta, d [Å], intensity
1 0 0, 11.90, 7.438, 79
1 1 1, 12.88, 6.874, 78
1 1 0, 13.08, 6.768, 100
1 -1 1, 18.63, 4.764, 48
0 0 2, 18.89, 4.698, 70
0 2 0, 20.11, 4.416, 91
0 1 2, 20.51, 4.329, 34
2 1 1, 21.16, 4.199, 43
1 -2 1, 27.34, 3.262, 52
3 2 1, 33.21, 2.698, 71

5.
Diffraction record for Pb2ClOF. The PXRD pattern is simulated, not measured: it uses a cell relaxed with GGA-PBE and CuKα.

Atomic structure:
Cell lengths 5.8302, 12.8200, 5.8688 Å; angles 90.00, 90.00, 90.00 degrees
Space group Cmme (No. 67)
Symmetry-distinct sites (fractional):
Pb1 0.0000 0.1023 0.2188 (multiplicity 8)
Cl1 0.0000 0.2500 0.7865 (multiplicity 4)
O1 0.2500 0.0000 0.0000 (multiplicity 4)
F1 0.2500 0.0000 0.5000 (multiplicity 4)

Principal peaks in the range 10 to 90 degrees two-theta, by angle:
index, two_theta, d [Å], intensity
1 1 1, 22.59, 3.936, 49
1 3 1, 30.07, 2.972, 100
0 0 2, 30.46, 2.934, 20
2 0 0, 30.67, 2.915, 23
0 4 2, 41.73, 2.164, 13
2 4 0, 41.89, 2.157, 15
2 0 2, 43.77, 2.068, 21
1 3 3, 53.89, 1.701, 14
3 3 1, 54.15, 1.694, 19
1 7 1, 54.82, 1.675, 15